# 1
This entry pairs a crystal structure of PrAl2Cu10 with its simulated powder XRD pattern. Radiation: a wavelength of 1.5418 Å. Structure: the PBE geometry in Alexandria.
No peak broadening, texture or thermal motion is included.

```
data_PrAl2Cu10
_cell_length_a 8.6217
_cell_length_b 6.7048
_cell_length_c 6.4642
_cell_angle_alpha 81.77
_cell_angle_beta 50.32
_cell_angle_gamma 47.91
_space_group_name_H-M_alt 'P 1'
_space_group_IT_number 1
_space_group_name_Hall 'P 1'
loop_
_atom_site_label
_atom_site_fract_x
_atom_site_fract_y
_atom_site_fract_z
Pr1 0.0000 0.0000 0.0000
Al1 0.0000 0.5000 0.0000
Al2 0.5000 0.0000 0.5000
Cu1 0.0000 0.0000 0.5000
Cu2 0.0032 0.6451 0.3549
Cu3 0.2745 0.5009 0.4991
Cu4 0.3549 0.9968 0.0032
Cu5 0.4991 0.7255 0.2745
Cu6 0.5000 0.5000 0.0000
Cu7 0.5009 0.2745 0.7255
Cu8 0.6451 0.0032 0.9968
Cu9 0.7255 0.4991 0.5009
Cu10 0.9968 0.3549 0.6451
```

Largest 8 diffraction maxima, in order of rising 2θ, 10 to 90 degrees two-theta:
36.09 deg, rel. 70; 41.23 deg, rel. 50; 41.93 deg, rel. 100; 42.64 deg, rel. 47; 46.72 deg, rel. 21; 47.58 deg, rel. 20; 68.38 deg, rel. 13; 76.60 deg, rel. 16

# 2
This entry pairs a crystal structure of Pr2Al3Cu5 with its simulated powder XRD pattern. Radiation: a wavelength of 1.5418 Å. Structure: the PBE geometry in Alexandria.
No peak broadening, texture or thermal motion is included.

```
data_Pr2Al3Cu5
_cell_length_a 4.2494
_cell_length_b 4.2494
_cell_length_c 10.1828
_cell_angle_alpha 90.00
_cell_angle_beta 90.00
_cell_angle_gamma 90.00
_space_group_name_H-M_alt 'P 1'
_space_group_IT_number 1
_space_group_name_Hall 'P 1'
loop_
_atom_site_label
_atom_site_fract_x
_atom_site_fract_y
_atom_site_fract_z
Pr1 0.0000 0.5000 0.2348
Pr2 0.5000 0.0000 0.7652
Al1 0.0000 0.5000 0.6441
Al2 0.5000 0.0000 0.3559
Al3 0.5000 0.5000 0.5000
Cu1 0.0000 0.0000 0.0000
Cu2 0.0000 0.0000 0.5000
Cu3 0.0000 0.5000 0.8816
Cu4 0.5000 0.0000 0.1184
Cu5 0.5000 0.5000 0.0000
```

Largest 8 diffraction maxima, in order of rising 2θ, 10 to 90 degrees two-theta:
22.67 deg, rel. 25; 33.80 deg, rel. 67; 34.66 deg, rel. 100; 42.55 deg, rel. 53; 49.64 deg, rel. 20; 55.41 deg, rel. 32; 61.74 deg, rel. 17; 72.79 deg, rel. 22

# 3
This entry pairs a crystal structure of Pr8Al2Cu with its simulated powder XRD pattern. Radiation: a wavelength of 1.5418 Å. Structure: the PBE geometry in Alexandria.
No peak broadening, texture or thermal motion is included.

```
data_Pr8Al2Cu
_cell_length_a 8.8662
_cell_length_b 8.8662
_cell_length_c 8.8662
_cell_angle_alpha 146.15
_cell_angle_beta 119.74
_cell_angle_gamma 70.94
_space_group_name_H-M_alt 'P 1'
_space_group_IT_number 1
_space_group_name_Hall 'P 1'
loop_
_atom_site_label
_atom_site_fract_x
_atom_site_fract_y
_atom_site_fract_z
Pr1 0.1239 0.3432 0.7807
Pr2 0.1343 0.1343 0.0000
Pr3 0.3299 0.0000 0.3299
Pr4 0.4376 0.6568 0.7807
Pr5 0.5624 0.3432 0.2193
Pr6 0.6701 0.0000 0.6701
Pr7 0.8657 0.8657 0.0000
Pr8 0.8761 0.6568 0.2193
Al1 0.2995 0.7995 0.5000
Al2 0.7005 0.2005 0.5000
Cu1 0.0000 0.5000 0.5000
```

Largest 8 diffraction maxima, in order of rising 2θ, 10 to 90 degrees two-theta:
25.30 deg, rel. 22; 30.76 deg, rel. 27; 31.87 deg, rel. 34; 32.42 deg, rel. 100; 34.75 deg, rel. 32; 47.08 deg, rel. 17; 51.95 deg, rel. 17; 60.69 deg, rel. 17

# 4
This entry pairs a crystal structure of PrAl6Cu2 with its simulated powder XRD pattern. Radiation: a wavelength of 1.5418 Å. Structure: the PBE geometry in Alexandria.
No peak broadening, texture or thermal motion is included.

```
data_PrAl6Cu2
_cell_length_a 8.2319
_cell_length_b 8.2319
_cell_length_c 8.2319
_cell_angle_alpha 60.00
_cell_angle_beta 60.00
_cell_angle_gamma 60.00
_space_group_name_H-M_alt 'P 1'
_space_group_IT_number 1
_space_group_name_Hall 'P 1'
loop_
_atom_site_label
_atom_site_fract_x
_atom_site_fract_y
_atom_site_fract_z
Pr1 0.1250 0.1250 0.1250
Pr2 0.8750 0.8750 0.8750
Al1 0.1450 0.1450 0.6050
Al2 0.1450 0.6050 0.1450
Al3 0.1450 0.6050 0.6050
Al4 0.3950 0.3950 0.8550
Al5 0.3950 0.8550 0.3950
Al6 0.3950 0.8550 0.8550
Al7 0.6050 0.1450 0.1450
Al8 0.6050 0.1450 0.6050
Al9 0.6050 0.6050 0.1450
Al10 0.8550 0.3950 0.3950
Al11 0.8550 0.3950 0.8550
Al12 0.8550 0.8550 0.3950
Cu1 0.0000 0.5000 0.5000
Cu2 0.5000 0.0000 0.5000
Cu3 0.5000 0.5000 0.0000
Cu4 0.5000 0.5000 0.5000
```

Largest 8 diffraction maxima, in order of rising 2θ, 10 to 90 degrees two-theta:
21.59 deg, rel. 19; 25.37 deg, rel. 100; 26.52 deg, rel. 19; 40.25 deg, rel. 33; 44.00 deg, rel. 68; 51.47 deg, rel. 14; 61.15 deg, rel. 29; 80.91 deg, rel. 19

# 5
This entry pairs a crystal structure of Pr2AlCu2 with its simulated powder XRD pattern. Radiation: a wavelength of 1.5418 Å. Structure: the PBE geometry in Alexandria.
No peak broadening, texture or thermal motion is included.

```
data_Pr2AlCu2
_cell_length_a 5.7629
_cell_length_b 5.7629
_cell_length_c 7.9207
_cell_angle_alpha 102.12
_cell_angle_beta 102.12
_cell_angle_gamma 60.26
_space_group_name_H-M_alt 'P 1'
_space_group_IT_number 1
_space_group_name_Hall 'P 1'
loop_
_atom_site_label
_atom_site_fract_x
_atom_site_fract_y
_atom_site_fract_z
Pr1 0.0131 0.2871 0.1528
Pr2 0.2871 0.0131 0.6528
Pr3 0.7129 0.9869 0.3472
Pr4 0.9869 0.7129 0.8472
Al1 0.3578 0.6422 0.2500
Al2 0.6422 0.3578 0.7500
Cu1 0.2352 0.5008 0.5006
Cu2 0.4992 0.7648 0.9994
Cu3 0.5008 0.2352 0.0006
Cu4 0.7648 0.4992 0.4994
```

Largest 8 diffraction maxima, in order of rising 2θ, 10 to 90 degrees two-theta:
25.88 deg, rel. 56; 31.16 deg, rel. 59; 33.10 deg, rel. 100; 36.23 deg, rel. 36; 36.63 deg, rel. 86; 37.19 deg, rel. 42; 37.45 deg, rel. 64; 39.52 deg, rel. 37

# 6
This entry pairs a crystal structure of PrAl8Cu4 with its simulated powder XRD pattern. Radiation: a wavelength of 1.5418 Å. Structure: the PBE geometry in Alexandria.
No peak broadening, texture or thermal motion is included.

```
data_PrAl8Cu4
_cell_length_a 6.7925
_cell_length_b 6.7925
_cell_length_c 6.7925
_cell_angle_alpha 98.34
_cell_angle_beta 98.34
_cell_angle_gamma 135.22
_space_group_name_H-M_alt 'P 1'
_space_group_IT_number 1
_space_group_name_Hall 'P 1'
loop_
_atom_site_label
_atom_site_fract_x
_atom_site_fract_y
_atom_site_fract_z
Pr1 0.0000 0.0000 0.0000
Al1 0.0000 0.3490 0.3490
Al2 0.0000 0.6510 0.6510
Al3 0.2792 0.5000 0.7792
Al4 0.3490 0.0000 0.3490
Al5 0.5000 0.2792 0.7792
Al6 0.5000 0.7208 0.2208
Al7 0.6510 0.0000 0.6510
Al8 0.7208 0.5000 0.2208
Cu1 0.0000 0.0000 0.5000
Cu2 0.0000 0.5000 0.0000
Cu3 0.5000 0.0000 0.0000
Cu4 0.5000 0.5000 0.5000
```

Largest 8 diffraction maxima, in order of rising 2θ, 10 to 90 degrees two-theta:
14.10 deg, rel. 23; 19.86 deg, rel. 23; 28.38 deg, rel. 75; 34.91 deg, rel. 28; 40.34 deg, rel. 80; 40.60 deg, rel. 100; 45.42 deg, rel. 19; 58.59 deg, rel. 29

# 7
This entry pairs a crystal structure of Pr3Al3Cu8 with its simulated powder XRD pattern. Radiation: a wavelength of 1.5418 Å. Structure: the PBE geometry in Alexandria.
No peak broadening, texture or thermal motion is included.

```
data_Pr3Al3Cu8
_cell_length_a 8.1368
_cell_length_b 8.1368
_cell_length_c 8.1368
_cell_angle_alpha 149.39
_cell_angle_beta 113.07
_cell_angle_gamma 75.37
_space_group_name_H-M_alt 'P 1'
_space_group_IT_number 1
_space_group_name_Hall 'P 1'
loop_
_atom_site_label
_atom_site_fract_x
_atom_site_fract_y
_atom_site_fract_z
Pr1 0.0000 0.0000 0.0000
Pr2 0.2945 0.2945 0.0000
Pr3 0.7055 0.7055 0.0000
Al1 0.2964 0.5000 0.7964
Al2 0.5000 0.0000 0.5000
Al3 0.7036 0.5000 0.2036
Cu1 0.0178 0.6645 0.3533
Cu2 0.1579 0.8717 0.2862
Cu3 0.3113 0.6645 0.6467
Cu4 0.4144 0.1283 0.2862
Cu5 0.5856 0.8717 0.7138
Cu6 0.6887 0.3355 0.3533
Cu7 0.8421 0.1283 0.7138
Cu8 0.9822 0.3355 0.6467
```

Largest 8 diffraction maxima, in order of rising 2θ, 10 to 90 degrees two-theta:
22.96 deg, rel. 26; 29.42 deg, rel. 32; 34.28 deg, rel. 40; 35.71 deg, rel. 71; 36.28 deg, rel. 40; 36.61 deg, rel. 100; 42.08 deg, rel. 56; 56.98 deg, rel. 24

# 8
This entry pairs a crystal structure of PrAlCu2S4 with its simulated powder XRD pattern. Radiation: a wavelength of 1.5418 Å. Structure: the PBE geometry in Alexandria.
No peak broadening, texture or thermal motion is included.

```
data_PrAlCu2S4
_cell_length_a 6.3412
_cell_length_b 6.6068
_cell_length_c 7.4784
_cell_angle_alpha 90.00
_cell_angle_beta 90.00
_cell_angle_gamma 90.00
_space_group_name_H-M_alt 'P 1'
_space_group_IT_number 1
_space_group_name_Hall 'P 1'
loop_
_atom_site_label
_atom_site_fract_x
_atom_site_fract_y
_atom_site_fract_z
Pr1 0.0000 0.0000 0.0000
Pr2 0.5000 0.5000 0.5000
Al1 0.0000 0.0000 0.5000
Al2 0.5000 0.5000 0.0000
Cu1 0.0000 0.5000 0.1809
Cu2 0.0000 0.5000 0.8191
Cu3 0.5000 0.0000 0.3191
Cu4 0.5000 0.0000 0.6809
S1 0.2078 0.1950 0.3256
S2 0.2078 0.8050 0.6744
S3 0.2922 0.3050 0.8256
S4 0.2922 0.6950 0.1744
S5 0.7078 0.3050 0.1744
S6 0.7078 0.6950 0.8256
S7 0.7922 0.1950 0.6744
S8 0.7922 0.8050 0.3256
```

Largest 8 diffraction maxima, in order of rising 2θ, 10 to 90 degrees two-theta:
18.34 deg, rel. 58; 30.89 deg, rel. 100; 32.83 deg, rel. 46; 38.60 deg, rel. 32; 39.39 deg, rel. 54; 50.18 deg, rel. 27; 51.56 deg, rel. 25; 63.54 deg, rel. 26

# 9
This entry pairs a crystal structure of PrAlCu2Si with its simulated powder XRD pattern. Radiation: a wavelength of 1.5418 Å. Structure: the PBE geometry in Alexandria.
No peak broadening, texture or thermal motion is included.

```
data_PrAlCu2Si
_cell_length_a 4.0711
_cell_length_b 4.0748
_cell_length_c 10.6714
_cell_angle_alpha 90.00
_cell_angle_beta 90.00
_cell_angle_gamma 90.00
_space_group_name_H-M_alt 'P 1'
_space_group_IT_number 1
_space_group_name_Hall 'P 1'
loop_
_atom_site_label
_atom_site_fract_x
_atom_site_fract_y
_atom_site_fract_z
Pr1 0.0000 0.0000 0.0000
Pr2 0.5000 0.5000 0.5000
Al1 0.0000 0.5000 0.7485
Al2 0.5000 0.0000 0.2485
Cu1 0.0000 0.0000 0.6168
Cu2 0.0000 0.5000 0.2625
Cu3 0.5000 0.0000 0.7625
Cu4 0.5000 0.5000 0.1168
Si1 0.0000 0.0000 0.3937
Si2 0.5000 0.5000 0.8937
```

Largest 8 diffraction maxima, in order of rising 2θ, 10 to 90 degrees two-theta:
23.37 deg, rel. 31; 31.05 deg, rel. 22; 33.45 deg, rel. 72; 35.42 deg, rel. 100; 44.49 deg, rel. 45; 48.13 deg, rel. 35; 56.79 deg, rel. 35; 67.62 deg, rel. 24

# 10
This entry pairs a crystal structure of PrAl2ZnCu with its simulated powder XRD pattern. Radiation: a wavelength of 1.5418 Å. Structure: the PBE geometry in Alexandria.
No peak broadening, texture or thermal motion is included.

```
data_PrAl2ZnCu
_cell_length_a 4.2883
_cell_length_b 4.3088
_cell_length_c 10.4327
_cell_angle_alpha 90.00
_cell_angle_beta 90.00
_cell_angle_gamma 90.00
_space_group_name_H-M_alt 'P 1'
_space_group_IT_number 1
_space_group_name_Hall 'P 1'
loop_
_atom_site_label
_atom_site_fract_x
_atom_site_fract_y
_atom_site_fract_z
Pr1 0.0000 0.0000 0.0000
Pr2 0.5000 0.5000 0.5000
Al1 0.0000 0.0000 0.3966
Al2 0.0000 0.5000 0.2448
Al3 0.5000 0.0000 0.7448
Al4 0.5000 0.5000 0.8966
Zn1 0.0000 0.5000 0.7507
Zn2 0.5000 0.0000 0.2507
Cu1 0.0000 0.0000 0.6276
Cu2 0.5000 0.5000 0.1276
```

Largest 8 diffraction maxima, in order of rising 2θ, 10 to 90 degrees two-theta:
22.39 deg, rel. 38; 29.39 deg, rel. 23; 33.13 deg, rel. 77; 34.14 deg, rel. 100; 41.93 deg, rel. 26; 42.14 deg, rel. 25; 48.50 deg, rel. 30; 54.61 deg, rel. 19

# 11
This entry pairs a crystal structure of Pr4AlZn2Cu with its simulated powder XRD pattern. Radiation: a wavelength of 1.5418 Å. Structure: the PBE geometry in Alexandria.
No peak broadening, texture or thermal motion is included.

```
data_Pr4AlZn2Cu
_cell_length_a 9.0757
_cell_length_b 9.0757
_cell_length_c 9.0757
_cell_angle_alpha 33.50
_cell_angle_beta 33.50
_cell_angle_gamma 33.50
_space_group_name_H-M_alt 'P 1'
_space_group_IT_number 1
_space_group_name_Hall 'P 1'
loop_
_atom_site_label
_atom_site_fract_x
_atom_site_fract_y
_atom_site_fract_z
Pr1 0.1217 0.1217 0.1217
Pr2 0.3720 0.3720 0.3720
Pr3 0.6280 0.6280 0.6280
Pr4 0.8783 0.8783 0.8783
Al1 0.5000 0.5000 0.5000
Zn1 0.2460 0.2460 0.2460
Zn2 0.7540 0.7540 0.7540
Cu1 0.0000 0.0000 0.0000
```

Largest 8 diffraction maxima, in order of rising 2θ, 10 to 90 degrees two-theta:
24.05 deg, rel. 20; 34.27 deg, rel. 100; 42.30 deg, rel. 6; 49.24 deg, rel. 18; 55.52 deg, rel. 8; 61.34 deg, rel. 26; 61.40 deg, rel. 9; 82.40 deg, rel. 15

# 12
This entry pairs a crystal structure of PrAlZn2Cu4 with its simulated powder XRD pattern. Radiation: a wavelength of 1.5418 Å. Structure: the PBE geometry in Alexandria.
No peak broadening, texture or thermal motion is included.

```
data_PrAlZn2Cu4
_cell_length_a 8.9251
_cell_length_b 8.9251
_cell_length_c 8.9251
_cell_angle_alpha 27.17
_cell_angle_beta 27.17
_cell_angle_gamma 27.17
_space_group_name_H-M_alt 'P 1'
_space_group_IT_number 1
_space_group_name_Hall 'P 1'
loop_
_atom_site_label
_atom_site_fract_x
_atom_site_fract_y
_atom_site_fract_z
Pr1 0.0000 0.0000 0.0000
Al1 0.5000 0.5000 0.5000
Zn1 0.2394 0.2394 0.2394
Zn2 0.7606 0.7606 0.7606
Cu1 0.1323 0.1323 0.1323
Cu2 0.4055 0.4055 0.4055
Cu3 0.5945 0.5945 0.5945
Cu4 0.8677 0.8677 0.8677
```

Largest 8 diffraction maxima, in order of rising 2θ, 10 to 90 degrees two-theta:
30.11 deg, rel. 39; 34.70 deg, rel. 33; 37.32 deg, rel. 80; 43.16 deg, rel. 100; 46.11 deg, rel. 14; 58.35 deg, rel. 21; 75.28 deg, rel. 19; 79.14 deg, rel. 17